Record 1
BaAg4Cl6: theoretical PXRD pattern (Cu Kα (weighted mean of Kα1 and Kα2)), based on a structure optimized by DFT (PBE).
Lines closer than 0.1° are merged.

Crystal structure
a = 6.077 Å, b = 6.088 Å, c = 8.639 Å
α = 81.52°, β = 81.84°, γ = 85.88°
Fractional coordinates of all 11 atoms:
Ba (0.000, 0.000, 0.000)
Ag (0.312, 0.312, 0.447)
Ag (0.601, 0.981, 0.633)
Ag (0.642, 0.648, 0.330)
Ag (0.984, 0.601, 0.632)
Cl (0.048, 0.048, 0.630)
Cl (0.086, 0.643, 0.311)
Cl (0.511, 0.971, 0.931)
Cl (0.530, 0.529, 0.627)
Cl (0.643, 0.089, 0.310)
Cl (0.975, 0.510, 0.930)

The 8 most intense peaks (2θ = 10–90°), most intense first:
2θ 10.45, I = 100
2θ 16.89, I = 74
2θ 35.08, I = 69
2θ 40.63, I = 63
2θ 29.73, I = 63
2θ 19.24, I = 56
2θ 23.94, I = 56
2θ 31.70, I = 55



Record 2
BaAgCl4: theoretical PXRD pattern (Cu Kα (weighted mean of Kα1 and Kα2)), based on a structure optimized by DFT (PBE).
Lines closer than 0.1° are merged.

Crystal structure
a = 7.276 Å, b = 7.276 Å, c = 7.654 Å
α = 90.00°, β = 90.00°, γ = 90.00°
Fractional coordinates of all 12 atoms:
Ba (0.000, 0.000, 0.000)
Ba (0.500, 0.500, 0.500)
Ag (0.000, 0.500, 0.750)
Ag (0.500, 0.000, 0.250)
Cl (0.239, 0.740, 0.749)
Cl (0.240, 0.261, 0.751)
Cl (0.260, 0.239, 0.251)
Cl (0.261, 0.760, 0.249)
Cl (0.739, 0.240, 0.249)
Cl (0.740, 0.761, 0.251)
Cl (0.760, 0.739, 0.751)
Cl (0.761, 0.260, 0.749)

The 8 most intense peaks (2θ = 10–90°), most intense first:
2θ 16.81, I = 100
2θ 29.08, I = 49
2θ 29.83, I = 43
2θ 34.87, I = 37
2θ 46.02, I = 27
2θ 46.54, I = 16
2θ 34.00, I = 14
2θ 60.28, I = 14



Record 3
BaCuAg2Cl8: theoretical PXRD pattern (Cu Kα (weighted mean of Kα1 and Kα2)), based on a structure optimized by DFT (PBE).
Lines closer than 0.1° are merged.

Crystal structure
a = 8.119 Å, b = 8.119 Å, c = 8.119 Å
α = 128.75°, β = 128.75°, γ = 75.41°
Fractional coordinates of all 12 atoms:
Ba (0.000, 0.000, 0.000)
Cu (0.750, 0.250, 0.500)
Ag (0.250, 0.750, 0.500)
Ag (0.500, 0.500, 0.000)
Cl (0.015, 0.068, 0.632)
Cl (0.176, 0.416, 0.596)
Cl (0.420, 0.824, 0.240)
Cl (0.436, 0.384, 0.368)
Cl (0.584, 0.180, 0.760)
Cl (0.616, 0.985, 0.052)
Cl (0.820, 0.580, 0.404)
Cl (0.932, 0.564, 0.948)

The 8 most intense peaks (2θ = 10–90°), most intense first:
2θ 22.63, I = 100
2θ 43.10, I = 80
2θ 27.78, I = 59
2θ 46.20, I = 38
2θ 60.03, I = 34
2θ 25.37, I = 32
2θ 37.97, I = 25
2θ 36.18, I = 22



Record 4
BaAgHg2Cl8: theoretical PXRD pattern (Cu Kα (weighted mean of Kα1 and Kα2)), based on a structure optimized by DFT (PBE).
Lines closer than 0.1° are merged.

Crystal structure
a = 6.616 Å, b = 6.616 Å, c = 9.102 Å
α = 90.00°, β = 90.00°, γ = 120.00°
Fractional coordinates of all 12 atoms:
Ba (0.000, 0.000, 0.000)
Ag (0.000, 0.000, 0.500)
Hg (0.333, 0.667, 0.728)
Hg (0.667, 0.333, 0.272)
Cl (0.036, 0.718, 0.313)
Cl (0.282, 0.318, 0.313)
Cl (0.318, 0.036, 0.687)
Cl (0.333, 0.667, 0.009)
Cl (0.667, 0.333, 0.991)
Cl (0.682, 0.964, 0.313)
Cl (0.718, 0.682, 0.687)
Cl (0.964, 0.282, 0.687)

The 8 most intense peaks (2θ = 10–90°), most intense first:
2θ 18.30, I = 100
2θ 26.95, I = 76
2θ 24.99, I = 74
2θ 32.77, I = 38
2θ 48.56, I = 37
2θ 37.08, I = 37
2θ 46.44, I = 34
2θ 47.61, I = 32



Record 5
BaLaAgCl6: theoretical PXRD pattern (Cu Kα (weighted mean of Kα1 and Kα2)), based on a structure optimized by DFT (PBE).
Lines closer than 0.1° are merged.

Crystal structure
a = 7.107 Å, b = 7.107 Å, c = 13.783 Å
α = 90.00°, β = 90.00°, γ = 120.00°
Fractional coordinates of all 18 atoms:
Ba (0.000, 0.000, 0.000)
Ba (0.000, 0.000, 0.500)
La (0.333, 0.667, 0.250)
La (0.667, 0.333, 0.750)
Ag (0.333, 0.667, 0.750)
Ag (0.667, 0.333, 0.250)
Cl (0.001, 0.354, 0.134)
Cl (0.001, 0.647, 0.366)
Cl (0.353, 0.354, 0.366)
Cl (0.353, 0.999, 0.134)
Cl (0.354, 0.001, 0.634)
Cl (0.354, 0.353, 0.866)
Cl (0.646, 0.647, 0.134)
Cl (0.646, 0.999, 0.366)
Cl (0.647, 0.001, 0.866)
Cl (0.647, 0.646, 0.634)
Cl (0.999, 0.353, 0.634)
Cl (0.999, 0.646, 0.866)

The 8 most intense peaks (2θ = 10–90°), most intense first:
2θ 19.34, I = 100
2θ 36.32, I = 71
2θ 25.06, I = 29
2θ 40.94, I = 29
2θ 44.14, I = 29
2θ 31.85, I = 28
2θ 28.26, I = 28
2θ 58.44, I = 16



Record 6
BaAg2RhCl8: theoretical PXRD pattern (Cu Kα (weighted mean of Kα1 and Kα2)), based on a structure optimized by DFT (PBE).
Lines closer than 0.1° are merged.

Crystal structure
a = 5.996 Å, b = 6.713 Å, c = 8.678 Å
α = 92.38°, β = 95.03°, γ = 111.16°
Fractional coordinates of all 12 atoms:
Ba (0.000, 0.000, 0.000)
Ag (0.044, 0.506, 0.728)
Ag (0.956, 0.494, 0.272)
Rh (0.000, 0.000, 0.500)
Cl (0.225, 0.243, 0.331)
Cl (0.230, 0.784, 0.476)
Cl (0.261, 0.213, 0.715)
Cl (0.293, 0.706, 0.967)
Cl (0.707, 0.294, 0.033)
Cl (0.739, 0.787, 0.285)
Cl (0.770, 0.216, 0.524)
Cl (0.775, 0.757, 0.669)

The 8 most intense peaks (2θ = 10–90°), most intense first:
2θ 15.95, I = 100
2θ 34.49, I = 68
2θ 30.71, I = 43
2θ 24.16, I = 37
2θ 27.17, I = 36
2θ 26.03, I = 32
2θ 44.92, I = 14
2θ 35.25, I = 13



Record 7
BaZn2AgCl8: theoretical PXRD pattern (Cu Kα (weighted mean of Kα1 and Kα2)), based on a structure optimized by DFT (PBE).
Lines closer than 0.1° are merged.

Crystal structure
a = 9.697 Å, b = 9.697 Å, c = 9.697 Å
α = 37.87°, β = 37.87°, γ = 37.87°
Fractional coordinates of all 12 atoms:
Ba (0.000, 0.000, 0.000)
Zn (0.245, 0.245, 0.245)
Zn (0.755, 0.755, 0.755)
Ag (0.500, 0.500, 0.500)
Cl (0.117, 0.415, 0.792)
Cl (0.208, 0.883, 0.585)
Cl (0.330, 0.330, 0.330)
Cl (0.415, 0.792, 0.117)
Cl (0.585, 0.208, 0.883)
Cl (0.670, 0.670, 0.670)
Cl (0.792, 0.117, 0.415)
Cl (0.883, 0.585, 0.208)

The 8 most intense peaks (2θ = 10–90°), most intense first:
2θ 20.96, I = 100
2θ 28.36, I = 54
2θ 49.86, I = 43
2θ 31.20, I = 40
2θ 34.80, I = 38
2θ 50.22, I = 36
2θ 35.53, I = 35
2θ 30.09, I = 32



Record 8
Ba2CoAg: theoretical PXRD pattern (Cu Kα (weighted mean of Kα1 and Kα2)), based on a structure optimized by DFT (PBE).
Lines closer than 0.1° are merged.

Crystal structure
a = 4.719 Å, b = 4.693 Å, c = 12.144 Å
α = 90.00°, β = 90.00°, γ = 90.00°
Fractional coordinates of all 8 atoms:
Ba (0.000, 0.000, 0.000)
Ba (0.000, 0.500, 0.500)
Ba (0.500, 0.000, 0.281)
Ba (0.500, 0.500, 0.781)
Co (0.500, 0.000, 0.594)
Co (0.500, 0.500, 0.094)
Ag (0.000, 0.000, 0.696)
Ag (0.000, 0.500, 0.196)

The 8 most intense peaks (2θ = 10–90°), most intense first:
2θ 27.80, I = 100
2θ 29.13, I = 70
2θ 34.90, I = 58
2θ 48.70, I = 33
2θ 63.83, I = 32
2θ 38.14, I = 29
2θ 38.36, I = 29
2θ 48.95, I = 28



Record 9
BaCoAg4: theoretical PXRD pattern (Cu Kα (weighted mean of Kα1 and Kα2)), based on a structure optimized by DFT (PBE).
Lines closer than 0.1° are merged.

Crystal structure
a = 5.705 Å, b = 5.705 Å, c = 5.705 Å
α = 60.00°, β = 60.00°, γ = 60.00°
Fractional coordinates of all 6 atoms:
Ba (0.000, 0.000, 0.000)
Co (0.750, 0.750, 0.750)
Ag (0.376, 0.376, 0.376)
Ag (0.376, 0.376, 0.871)
Ag (0.376, 0.871, 0.376)
Ag (0.871, 0.376, 0.376)

The 8 most intense peaks (2θ = 10–90°), most intense first:
2θ 36.95, I = 100
2θ 38.66, I = 46
2θ 59.53, I = 32
2θ 65.43, I = 27
2θ 31.36, I = 22
2θ 78.66, I = 16
2θ 19.05, I = 13
2θ 77.59, I = 11